Record 1
Structure and theoretical X-ray powder pattern of Al8V5 (a DFT-relaxed cell (GGA-PBE, the Materials Project); Cu Kα X-rays).

Cell and atoms:
```
Al8V5
1.0
-4.5995 4.5995 4.5995
4.5995 -4.5995 4.5995
4.5995 4.5995 -4.5995
Al V
16 10
direct
0.0000 0.0000 0.2227 Al
0.0000 0.2227 0.0000 Al
0.0000 0.3431 0.7057 Al
0.0000 0.7057 0.3431 Al
0.2227 0.0000 0.0000 Al
0.2943 0.2943 0.6373 Al
0.2943 0.6373 0.2943 Al
0.3431 0.0000 0.7057 Al
0.3431 0.7057 0.0000 Al
0.3627 0.6569 0.6569 Al
0.6373 0.2943 0.2943 Al
0.6569 0.3627 0.6569 Al
0.6569 0.6569 0.3627 Al
0.7057 0.0000 0.3431 Al
0.7057 0.3431 0.0000 Al
0.7773 0.7773 0.7773 Al
0.0000 0.0000 0.6535 V
0.0000 0.3464 0.3464 V
0.0000 0.6535 0.0000 V
0.0000 0.6536 0.6536 V
0.3464 0.0000 0.3464 V
0.3464 0.3464 0.0000 V
0.3465 0.3465 0.3465 V
0.6535 0.0000 0.0000 V
0.6536 0.0000 0.6536 V
0.6536 0.6536 0.0000 V
```

Peak list (10 most intense, 15° ≤ 2θ ≤ 90°, most intense first)
2θ/deg  Rel. int.
41.65  100
76.03  23
23.69  16
60.37  12
85.82  8
48.48  5
70.99  3
46.29  2
36.55  2
69.28  1

Record 2
Structure and theoretical X-ray powder pattern of AlV2 (a DFT-relaxed cell (GGA-PBE, the Materials Project); Cu Kα X-rays).

Cell and atoms:
```
AlV2
1.0
3.1628 0.0000 0.0000
0.0000 4.2240 0.0000
0.0000 0.0000 12.6614
Al V
4 8
direct
0.0000 0.0000 0.0000 Al
0.0000 0.5000 0.5000 Al
0.5000 0.0000 0.5000 Al
0.5000 0.5000 0.0000 Al
0.0000 0.0000 0.3291 V
0.0000 0.0000 0.6709 V
0.0000 0.5000 0.1709 V
0.0000 0.5000 0.8291 V
0.5000 0.0000 0.1709 V
0.5000 0.0000 0.8291 V
0.5000 0.5000 0.3291 V
0.5000 0.5000 0.6709 V
```

Peak list (10 most intense, 15° ≤ 2θ ≤ 90°, most intense first)
2θ/deg  Rel. int.
41.60  100
42.84  45
77.62  27
75.05  16
62.19  14
58.35  9
36.18  4
51.01  4
45.26  2
28.19  1